This entry pairs a crystal structure of La3Sb2Cl with its calculated powder diffraction line list. Radiation: Cu Kα (weighted mean of Kα1 and Kα2). Structure: a cell relaxed with PBE.
Neutral-atom scattering factors, no anomalous dispersion.

Principal peaks in the range 15 to 90 degrees two-theta, sorted by position:
(1 1 0), 27.42 deg, d = 3.253 Å, I 100
(0 0 6), 28.38 deg, d = 3.144 Å, I 46
(2 0 0), 39.17 deg, d = 2.300 Å, I 38
(1 1 6), 39.88 deg, d = 2.261 Å, I 73
(2 0 6), 49.07 deg, d = 1.856 Å, I 40
(2 2 0), 56.59 deg, d = 1.626 Å, I 13
(3 1 0), 64.01 deg, d = 1.455 Å, I 18
(2 2 6), 64.51 deg, d = 1.445 Å, I 17
(1 1 12), 66.00 deg, d = 1.415 Å, I 16
(3 1 6), 71.46 deg, d = 1.320 Å, I 25

Structural model:
abc: 4.600 4.600 18.866
angles: 90.00 90.00 90.00
Element x y z (fractional)
La (0.000, 0.000, 0.000)
La (0.000, 0.000, 0.334)
La (0.000, 0.000, 0.666)
La (0.500, 0.500, 0.166)
La (0.500, 0.500, 0.500)
La (0.500, 0.500, 0.834)
Sb (0.000, 0.000, 0.166)
Sb (0.000, 0.000, 0.834)
Sb (0.500, 0.500, 0.334)
Sb (0.500, 0.500, 0.666)
Cl (0.000, 0.000, 0.500)
Cl (0.500, 0.500, 0.000)